This entry pairs a crystal structure of LuTaOs2 with its computed PXRD pattern. Radiation: Cu Kα, 1.54184 Å. Structure: a GGA-PBE-relaxed structure.

a b c (Å): 6.5037 6.5037 6.5037
angles (deg): 90.00 90.00 90.00
Space group Fm-3m (No. 225)
Asymmetric unit:
Lu 0.0000 0.0000 0.0000 (multiplicity 4)
Ta 0.0000 0.0000 0.5000 (multiplicity 4)
Os 0.2500 0.2500 0.2500 (multiplicity 8)

Largest 4 diffraction maxima, in order of rising 2θ, 2θ from 15° to 90°:
2θ (°), d [Å], intensity, hkl
39.18, 2.299, 100, 2 2 0
56.61, 1.626, 17, 4 0 0
71.00, 1.328, 35, 4 2 2
84.22, 1.150, 11, 4 4 0